# 1
For Mg11Pd4Au9, a cell relaxed with GGA-PBE gives the calculated PXRD pattern in this record (Cu Ka).
Kinematic intensities with the Lorentz-polarization factor, no thermal factor.

Atomic structure:
Lattice parameters (Å, degrees): 12.068 12.068 3.090 90.00 90.00 110.44
Element x y z (fractional)
Mg 0.000 0.000 0.000
Mg 0.061 0.409 0.000
Mg 0.178 0.822 0.000
Mg 0.242 0.242 0.000
Mg 0.373 0.627 0.000
Mg 0.409 0.061 0.000
Mg 0.591 0.939 0.000
Mg 0.627 0.373 0.000
Mg 0.758 0.758 0.000
Mg 0.822 0.178 0.000
Mg 0.939 0.591 0.000
Pd 0.253 0.427 0.500
Pd 0.427 0.253 0.500
Pd 0.573 0.747 0.500
Pd 0.747 0.573 0.500
Au 0.030 0.204 0.500
Au 0.157 0.619 0.500
Au 0.204 0.030 0.500
Au 0.381 0.843 0.500
Au 0.500 0.500 0.500
Au 0.619 0.157 0.500
Au 0.796 0.970 0.500
Au 0.843 0.381 0.500
Au 0.970 0.796 0.500

Peak list (6 most intense, 10 to 90 degrees two-theta, low angle first)
2θ (°), d (Å), Rel. int.
25.9, 3.442, 57
28.9, 3.090, 91
37.7, 2.383, 100
39.2, 2.299, 78
39.9, 2.258, 96
48.2, 1.887, 63



# 2
For Pr4Dy5Ho2, a cell relaxed with GGA-PBE gives the calculated PXRD pattern in this record (Cu Ka).
Kinematic intensities with the Lorentz-polarization factor, no thermal factor.

Atomic structure:
Lattice parameters (Å, degrees): 10.034 10.034 6.683 90.78 90.78 32.92
Element x y z (fractional)
Pr 0.020 0.020 0.288
Pr 0.306 0.306 0.928
Pr 0.694 0.694 0.072
Pr 0.980 0.980 0.712
Dy 0.130 0.130 0.890
Dy 0.209 0.209 0.402
Dy 0.500 0.500 0.000
Dy 0.791 0.791 0.598
Dy 0.870 0.870 0.110
Ho 0.402 0.402 0.445
Ho 0.598 0.598 0.555

Peak list (6 most intense, 10 to 90 degrees two-theta, low angle first)
2θ (°), d (Å), Rel. int.
30.7, 2.908, 35
31.2, 2.864, 100
31.3, 2.854, 87
31.5, 2.843, 59
44.6, 2.033, 26
55.9, 1.644, 37



# 3
For LaTbSm2Tl2, a cell relaxed with GGA-PBE gives the calculated PXRD pattern in this record (Cu Ka).
Kinematic intensities with the Lorentz-polarization factor, no thermal factor.

Atomic structure:
Lattice parameters (Å, degrees): 5.245 10.264 6.904 90.00 90.00 90.00
Element x y z (fractional)
La 0.000 0.044 0.000
La 0.000 0.956 0.500
Tb 0.500 0.192 0.725
Tb 0.500 0.808 0.225
Sm 0.000 0.319 0.375
Sm 0.000 0.681 0.875
Sm 0.500 0.455 0.096
Sm 0.500 0.545 0.596
Tl 0.000 0.363 0.841
Tl 0.000 0.637 0.341
Tl 0.500 0.136 0.266
Tl 0.500 0.864 0.766

Peak list (6 most intense, 10 to 90 degrees two-theta, low angle first)
2θ (°), d (Å), Rel. int.
31.0, 2.883, 45
31.2, 2.865, 100
32.2, 2.776, 65
33.9, 2.647, 28
34.2, 2.623, 49
37.0, 2.430, 19



# 4
For Mg7Ag2, a cell relaxed with GGA-PBE gives the calculated PXRD pattern in this record (Cu Ka).
Kinematic intensities with the Lorentz-polarization factor, no thermal factor.

Atomic structure:
Lattice parameters (Å, degrees): 4.902 4.902 8.909 90.00 90.00 120.00
Element x y z (fractional)
Mg 0.000 0.000 0.000
Mg 0.000 0.000 0.332
Mg 0.000 0.000 0.668
Mg 0.333 0.667 0.190
Mg 0.333 0.667 0.551
Mg 0.667 0.333 0.449
Mg 0.667 0.333 0.810
Ag 0.333 0.667 0.866
Ag 0.667 0.333 0.134

Peak list (6 most intense, 10 to 90 degrees two-theta, low angle first)
2θ (°), d (Å), Rel. int.
23.2, 3.832, 70
29.1, 3.073, 43
36.7, 2.451, 100
36.9, 2.433, 85
53.0, 1.727, 28
66.2, 1.412, 28



# 5
For LiMg14Sc, a cell relaxed with GGA-PBE gives the calculated PXRD pattern in this record (Cu Ka).
Kinematic intensities with the Lorentz-polarization factor, no thermal factor.

Atomic structure:
Lattice parameters (Å, degrees): 6.485 6.485 8.715 90.00 90.00 90.00
Element x y z (fractional)
Li 0.000 0.000 0.000
Mg 0.000 0.000 0.500
Mg 0.000 0.500 0.000
Mg 0.000 0.500 0.500
Mg 0.250 0.250 0.250
Mg 0.250 0.250 0.750
Mg 0.250 0.750 0.250
Mg 0.250 0.750 0.750
Mg 0.500 0.000 0.000
Mg 0.500 0.000 0.500
Mg 0.500 0.500 0.500
Mg 0.750 0.250 0.250
Mg 0.750 0.250 0.750
Mg 0.750 0.750 0.250
Mg 0.750 0.750 0.750
Sc 0.500 0.500 0.000

Peak list (6 most intense, 10 to 90 degrees two-theta, low angle first)
2θ (°), d (Å), Rel. int.
34.5, 2.601, 100
39.3, 2.293, 34
41.4, 2.179, 15
56.8, 1.621, 11
58.4, 1.579, 20
68.2, 1.376, 25



# 6
For DyRu6, a cell relaxed with GGA-PBE gives the calculated PXRD pattern in this record (Cu Ka).
Kinematic intensities with the Lorentz-polarization factor, no thermal factor.

Atomic structure:
Lattice parameters (Å, degrees): 5.791 5.791 5.791 109.47 109.47 109.47
Element x y z (fractional)
Dy 0.000 0.000 0.000
Ru 0.250 0.500 0.750
Ru 0.250 0.750 0.500
Ru 0.500 0.250 0.750
Ru 0.500 0.750 0.250
Ru 0.750 0.250 0.500
Ru 0.750 0.500 0.250

Peak list (6 most intense, 10 to 90 degrees two-theta, low angle first)
2θ (°), d (Å), Rel. int.
26.7, 3.343, 43
32.8, 2.730, 100
47.1, 1.930, 19
51.1, 1.787, 57
54.9, 1.672, 26
81.4, 1.182, 16



# 7
For NdSm4Dy10, a cell relaxed with GGA-PBE gives the calculated PXRD pattern in this record (Cu Ka).
Kinematic intensities with the Lorentz-polarization factor, no thermal factor.

Atomic structure:
Lattice parameters (Å, degrees): 8.823 8.823 8.823 112.37 112.37 103.81
Element x y z (fractional)
Nd 0.000 0.000 0.000
Sm 0.212 0.446 0.659
Sm 0.446 0.788 0.234
Sm 0.554 0.212 0.766
Sm 0.788 0.554 0.341
Dy 0.046 0.387 0.096
Dy 0.050 0.954 0.342
Dy 0.250 0.750 0.500
Dy 0.292 0.950 0.904
Dy 0.387 0.292 0.342
Dy 0.613 0.708 0.658
Dy 0.708 0.050 0.096
Dy 0.750 0.250 0.500
Dy 0.950 0.046 0.658
Dy 0.954 0.613 0.904

Peak list (6 most intense, 10 to 90 degrees two-theta, low angle first)
2θ (°), d (Å), Rel. int.
26.2, 3.404, 29
28.7, 3.105, 79
32.0, 2.798, 100
33.2, 2.697, 47
41.1, 2.196, 28
41.5, 2.178, 25



# 8
For Na4VRh3Se8, a cell relaxed with GGA-PBE gives the calculated PXRD pattern in this record (Cu Ka).
Kinematic intensities with the Lorentz-polarization factor, no thermal factor.

Atomic structure:
Lattice parameters (Å, degrees): 8.013 8.013 8.013 56.72 56.72 56.72
Element x y z (fractional)
Na 0.000 0.000 0.000
Na 0.000 0.500 0.500
Na 0.500 0.000 0.500
Na 0.500 0.500 0.000
V 0.500 0.500 0.500
Rh 0.000 0.000 0.500
Rh 0.000 0.500 0.000
Rh 0.500 0.000 0.000
Se 0.228 0.734 0.734
Se 0.229 0.229 0.229
Se 0.266 0.266 0.772
Se 0.266 0.772 0.266
Se 0.734 0.228 0.734
Se 0.734 0.734 0.228
Se 0.771 0.771 0.771
Se 0.772 0.266 0.266

Peak list (6 most intense, 10 to 90 degrees two-theta, low angle first)
2θ (°), d (Å), Rel. int.
13.2, 6.700, 67
32.5, 2.756, 100
41.7, 2.165, 25
45.4, 1.998, 25
47.8, 1.903, 38
59.0, 1.566, 17